# 1
Simulated XRD peak list
Compound: Zn2Ge2As3N
Radiation: λ = 1.5418 Å (Cu Kα)
Structure: the GGA-PBE geometry in OQMD
Peak positions follow from Bragg's law for the DFT cell and can differ from measured ones.

Top 10 peaks for 2θ = 10–80°, in order of rising 2θ:
28.35 deg, intensity 94, hkl 1 1 1; 28.87 deg, intensity 100, hkl 3 1 -1; 47.01 deg, intensity 40, hkl 2 2 -2; 47.43 deg, intensity 20, hkl 2 0 2; 47.65 deg, intensity 40, hkl 4 2 0; 48.76 deg, intensity 20, hkl 6 0 -2; 55.40 deg, intensity 12, hkl 1 3 1; 55.91 deg, intensity 10, hkl 1 1 -3; 57.05 deg, intensity 11, hkl 5 1 1; 57.93 deg, intensity 11, hkl 7 1 -1

Structure:
```
data_Zn2Ge2As3N
_symmetry_space_group_name_H-M 'C 1 2 1'
_symmetry_Int_Tables_number 5
_symmetry_space_group_name_Hall 'C 2y'
_cell_length_a 11.7553
_cell_length_b 5.5183
_cell_length_c 5.4199
_cell_angle_alpha 90.00
_cell_angle_beta 115.96
_cell_angle_gamma 90.00
loop_
_atom_site_label
_atom_site_type_symbol
_atom_site_fract_x
_atom_site_fract_y
_atom_site_fract_z
_atom_site_occupancy
Zn1 Zn 0.1079 0.0000 0.3158 1
Ge1 Ge 0.1141 0.4218 0.8984 1
As1 As 0.0000 0.6945 0.5000 1
As2 As 0.2486 0.7037 0.2567 1
N1 N 0.0000 0.2333 0.0000 1
```


# 2
Simulated XRD peak list
Compound: HoMgGa
Radiation: λ = 1.5418 Å (Cu Kα)
Structure: the GGA-PBE geometry in OQMD
Peak positions follow from Bragg's law for the DFT cell and can differ from measured ones.

Top 10 peaks for 2θ = 10–80°, in order of rising 2θ:
20.07 deg, intensity 26, hkl 0 0 1; 28.48 deg, intensity 34, hkl 2 0 0; 31.95 deg, intensity 74, hkl 1 1 1; 35.09 deg, intensity 100, hkl 2 0 1; 37.98 deg, intensity 24, hkl 2 1 0; 40.80 deg, intensity 24, hkl 0 0 2; 43.32 deg, intensity 28, hkl 3 0 0; 50.48 deg, intensity 23, hkl 2 2 0; 56.92 deg, intensity 44, hkl 3 1 1; 68.64 deg, intensity 36, hkl 3 1 2

Structure:
```
data_HoMgGa
_symmetry_space_group_name_H-M 'P -6 2 m'
_symmetry_Int_Tables_number 189
_symmetry_space_group_name_Hall 'P -6 -2'
_cell_length_a 7.2385
_cell_length_b 7.2385
_cell_length_c 4.4235
_cell_angle_alpha 90.00
_cell_angle_beta 90.00
_cell_angle_gamma 120.00
loop_
_atom_site_label
_atom_site_type_symbol
_atom_site_fract_x
_atom_site_fract_y
_atom_site_fract_z
_atom_site_occupancy
Ho1 Ho 0.0000 0.4268 0.0000 1
Mg1 Mg 0.0000 0.7563 0.5000 1
Ga1 Ga 0.0000 0.0000 0.0000 1
Ga2 Ga 0.3333 0.6667 0.5000 1
```


# 3
Simulated XRD peak list
Compound: Be4Hg
Radiation: λ = 1.5418 Å (Cu Kα)
Structure: the GGA-PBE geometry in OQMD
Peak positions follow from Bragg's law for the DFT cell and can differ from measured ones.

Top 10 peaks for 2θ = 10–80°, in order of rising 2θ:
15.95 deg, intensity 36, hkl 0 0 2; 24.02 deg, intensity 42, hkl 0 0 3; 29.11 deg, intensity 100, hkl 1 0 1; 32.35 deg, intensity 61, hkl 1 0 2; 39.95 deg, intensity 24, hkl 1 1 0; 43.20 deg, intensity 56, hkl 1 0 4; 47.16 deg, intensity 40, hkl 1 1 3; 65.99 deg, intensity 20, hkl 2 1 1; 67.78 deg, intensity 16, hkl 2 1 2; 74.78 deg, intensity 17, hkl 2 1 4

Structure:
```
data_Be4Hg
_symmetry_space_group_name_H-M 'P 4/n m m'
_symmetry_Int_Tables_number 129
_cell_length_a 3.1916
_cell_length_b 3.1916
_cell_length_c 11.1128
_cell_angle_alpha 90.00
_cell_angle_beta 90.00
_cell_angle_gamma 90.00
loop_
_symmetry_equiv_pos_as_xyz
'x,y,z'
'-x,-y,-z'
'-y+1/2,x,z'
'y+1/2,-x,-z'
'-x+1/2,-y+1/2,z'
'x+1/2,y+1/2,-z'
'y,-x+1/2,z'
'-y,x+1/2,-z'
'x+1/2,-y,-z'
'-x+1/2,y,z'
'-y,-x,-z'
'y,x,z'
'-x,y+1/2,-z'
'x,-y+1/2,z'
'y+1/2,x+1/2,-z'
'-y+1/2,-x+1/2,z'
loop_
_atom_site_label
_atom_site_type_symbol
_atom_site_fract_x
_atom_site_fract_y
_atom_site_fract_z
_atom_site_occupancy
Be1 Be 0.2500 0.2500 0.0053 1
Be2 Be 0.2500 0.7500 0.1382 1
Be3 Be 0.2500 0.7500 0.5000 1
Hg1 Hg 0.2500 0.2500 0.6767 1
```


# 4
Simulated XRD peak list
Compound: Pr2DyMg3Hg2Au
Radiation: λ = 1.5418 Å (Cu Kα)
Structure: the GGA-PBE geometry in OQMD
Peak positions follow from Bragg's law for the DFT cell and can differ from measured ones.

Top 10 peaks for 2θ = 10–80°, in order of rising 2θ:
22.61 deg, intensity 61, hkl 0 0 2; 24.60 deg, intensity 35, hkl 1 1 1; 30.91 deg, intensity 71, hkl 1 3 1; 33.66 deg, intensity 100, hkl 1 4 0; 39.70 deg, intensity 47, hkl 0 3 3; 40.93 deg, intensity 45, hkl 1 4 2; 42.31 deg, intensity 24, hkl 2 0 0; 53.01 deg, intensity 18, hkl 1 7 1; 59.41 deg, intensity 29, hkl 2 6 0; 63.39 deg, intensity 30, hkl 1 7 3

Structure:
```
data_Pr2DyMg3Hg2Au
_symmetry_space_group_name_H-M 'A m m 2'
_symmetry_Int_Tables_number 38
_symmetry_space_group_name_Hall 'A 2 -2'
_cell_length_a 4.2722
_cell_length_b 13.6154
_cell_length_c 7.8667
_cell_angle_alpha 90.00
_cell_angle_beta 90.00
_cell_angle_gamma 90.00
loop_
_atom_site_label
_atom_site_type_symbol
_atom_site_fract_x
_atom_site_fract_y
_atom_site_fract_z
_atom_site_occupancy
Pr1 Pr 0.0000 0.2029 0.0000 1
Dy1 Dy 0.0000 0.0000 0.3939 1
Mg1 Mg 0.5000 0.0000 0.0361 1
Mg2 Mg 0.5000 0.1179 0.6756 1
Hg1 Hg 0.5000 0.1610 0.3000 1
Au1 Au 0.0000 0.0000 0.7908 1
```